This entry pairs a crystal structure of Tb3AlAg3S8 with its theoretical powder diffractogram. Radiation: Cu Kα X-rays. Structure: a crystal structure in Alexandria, relaxed with GGA-PBE.
Kinematic intensities with the Lorentz-polarization factor, no thermal factor.

Most intense lines, 2θ from 5° to 70°, by angle:
index  d (Å)  I/Imax
2 0 0  5.491  39
1 1 1  3.953  18
0 0 2  3.208  63
4 0 -2  3.065  19
2 2 -2  2.751  100
4 0 0  2.735  49
2 2 2  1.976  54
6 2 -2  1.905  32

Crystal structure
a = 13.048 Å, b = 7.909 Å, c = 7.670 Å
α = 90.00°, β = 123.04°, γ = 90.00°
Space group C2/m (No. 12)
Unique sites:
Tb1 0.000 0.000 0.000
Tb2 0.250 0.250 0.500
Al1 0.000 0.500 0.000
Ag1 0.000 0.500 0.500
Ag2 0.250 0.250 0.000
S1 0.002 0.276 0.776
S2 0.226 0.500 0.224
S3 0.247 0.000 0.256



This entry pairs a crystal structure of Nd5Y2In2 with its theoretical powder diffractogram. Radiation: Cu Kα X-rays. Structure: a crystal structure in Alexandria, relaxed with GGA-PBE.
Kinematic intensities with the Lorentz-polarization factor, no thermal factor.

Most intense lines, 2θ from 5° to 70°, by angle:
index  d (Å)  I/Imax
3 1 2  3.229  43
0 2 0  3.196  25
6 1 1  2.799  100
3 2 1  2.744  82
0 1 3  2.731  98
6 0 2  2.676  67
6 1 5  1.543  31
12 1 3  1.417  23

Crystal structure
a = 19.892 Å, b = 6.392 Å, c = 9.062 Å
α = 90.00°, β = 90.00°, γ = 90.00°
Space group Ima2 (No. 46)
Unique sites:
Nd1 0.084 0.113 0.000
Nd2 0.169 0.549 0.164
Nd3 0.250 0.087 0.325
Y1 0.073 0.614 0.854
In1 0.000 0.000 0.675
In2 0.250 0.582 0.478



This entry pairs a crystal structure of PrHo4Sc with its theoretical powder diffractogram. Radiation: Cu Kα X-rays. Structure: a crystal structure in Alexandria, relaxed with GGA-PBE.
Kinematic intensities with the Lorentz-polarization factor, no thermal factor.

Most intense lines, 2θ from 5° to 70°, by angle:
index  d (Å)  I/Imax
1 1 -1  3.228  45
1 1 1  2.942  38
2 0 2  2.878  59
2 0 -4  2.821  97
3 1 -1  2.516  100
1 1 3  2.148  27
2 2 -4  1.463  26
7 1 -3  1.456  26

Crystal structure
a = 11.290 Å, b = 3.422 Å, c = 11.281 Å
α = 90.00°, β = 118.67°, γ = 90.00°
Space group C2/m (No. 12)
Unique sites:
Pr1 0.000 0.000 0.000
Ho1 0.153 0.500 0.836
Ho2 0.156 0.000 0.351
Sc1 0.000 0.500 0.500



This entry pairs a crystal structure of Zr2Al3P4 with its theoretical powder diffractogram. Radiation: Cu Kα X-rays. Structure: a crystal structure in Alexandria, relaxed with GGA-PBE.
Kinematic intensities with the Lorentz-polarization factor, no thermal factor.

Most intense lines, 2θ from 5° to 70°, by angle:
index  d (Å)  I/Imax
0 0 2  11.490  100
1 0 2  3.382  18
1 0 3  3.213  48
1 0 5  2.804  71
1 0 7  2.407  42
1 0 8  2.230  20
1 1 0  2.043  65
1 1 10  1.527  25

Crystal structure
a = 4.0865 Å, b = 4.0865 Å, c = 22.9791 Å
α = 90.00°, β = 90.00°, γ = 120.00°
Space group P6_3/mmc (No. 194)
Unique sites:
Zr1 0.3333 0.6667 0.0524
Al1 0.0000 0.0000 0.1432
Al2 0.3333 0.6667 0.7500
P1 0.0000 0.0000 0.0000
P2 0.0000 0.0000 0.2500
P3 0.3333 0.6667 0.6293



This entry pairs a crystal structure of Ba3BiS6 with its theoretical powder diffractogram. Radiation: Cu Kα X-rays. Structure: a crystal structure in Alexandria, relaxed with GGA-PBE.
Kinematic intensities with the Lorentz-polarization factor, no thermal factor.

Most intense lines, 2θ from 5° to 70°, by angle:
index  d (Å)  I/Imax
0 1 2  6.181  44
0 0 3  4.985  43
2 0 2  4.427  70
2 1 1  4.001  100
3 -2 2  3.630  100
3 1 2  2.822  54
2 1 4  2.778  90
1 4 0  2.398  66

Crystal structure
a = 12.6867 Å, b = 12.6867 Å, c = 14.9543 Å
α = 90.00°, β = 90.00°, γ = 120.00°
Space group R-3 (No. 148, hexagonal axes)
Unique sites:
Ba1 0.0443 0.2698 0.2038
Bi1 0.0000 0.0000 0.0000
Bi2 0.0000 0.0000 0.5000
S1 0.0237 0.1890 0.4054
S2 0.0298 0.1799 0.8937



This entry pairs a crystal structure of Ac6Ga2Ag with its theoretical powder diffractogram. Radiation: Cu Kα X-rays. Structure: a crystal structure in Alexandria, relaxed with GGA-PBE.
Kinematic intensities with the Lorentz-polarization factor, no thermal factor.

Most intense lines, 2θ from 5° to 70°, by angle:
index  d (Å)  I/Imax
1 0 3  3.541  26
3 0 1  3.375  30
2 2 2  3.146  100
1 2 3  2.964  44
3 1 2  2.889  57
3 2 1  2.867  50
0 4 0  2.707  33
3 5 2  1.756  27

Crystal structure
a = 10.626 Å, b = 10.829 Å, c = 11.268 Å
α = 90.00°, β = 90.00°, γ = 90.00°
Space group Immm (No. 71)
Unique sites:
Ac1 0.000 0.201 0.174
Ac2 0.174 0.232 0.500
Ac3 0.193 0.500 0.249
Ga1 0.000 0.000 0.385
Ga2 0.142 0.000 0.000
Ag1 0.000 0.500 0.000
Ag2 0.000 0.500 0.500



This entry pairs a crystal structure of NiRh2 with its theoretical powder diffractogram. Radiation: Cu Kα X-rays. Structure: a crystal structure in Alexandria, relaxed with GGA-PBE.
Kinematic intensities with the Lorentz-polarization factor, no thermal factor.

Most intense lines, 2θ from 5° to 70°, by angle:
index  d (Å)  I/Imax
1 1 0  3.589  9
2 1 0  2.350  16
1 1 1  2.148  100
3 0 0  2.072  90
2 0 1  2.030  22
2 1 1  1.767  11
3 1 0  1.724  5
2 2 1  1.491  23

Crystal structure
a = 7.1785 Å, b = 7.1785 Å, c = 2.6813 Å
α = 90.00°, β = 90.00°, γ = 120.00°
Space group P-62m (No. 189)
Unique sites:
Ni1 0.0000 0.0000 0.0000
Ni2 0.3333 0.6667 0.5000
Rh1 0.0000 0.2996 0.5000
Rh2 0.0000 0.6352 0.0000



This entry pairs a crystal structure of Nd6Dy5Ho2 with its theoretical powder diffractogram. Radiation: Cu Kα X-rays. Structure: a crystal structure in Alexandria, relaxed with GGA-PBE.
Kinematic intensities with the Lorentz-polarization factor, no thermal factor.

Most intense lines, 2θ from 5° to 70°, by angle:
index  d (Å)  I/Imax
4 1 0  2.900  49
1 4 1  2.875  50
1 7 0  2.858  55
2 3 1  2.814  100
2 4 1  2.646  29
3 3 1  2.478  26
0 0 2  1.812  19
1 7 2  1.531  20

Crystal structure
a = 11.716 Å, b = 20.632 Å, c = 3.625 Å
α = 90.00°, β = 90.00°, γ = 90.00°
Space group Pbam (No. 55)
Unique sites:
Nd1 0.061 0.080 0.000
Nd2 0.083 0.367 0.000
Nd3 0.173 0.635 0.500
Dy1 0.000 0.500 0.500
Dy2 0.092 0.227 0.500
Dy3 0.198 0.944 0.500
Ho1 0.166 0.790 0.000



This entry pairs a crystal structure of Pm7Ir4O with its theoretical powder diffractogram. Radiation: Cu Kα X-rays. Structure: a crystal structure in Alexandria, relaxed with GGA-PBE.
Kinematic intensities with the Lorentz-polarization factor, no thermal factor.

Most intense lines, 2θ from 5° to 70°, by angle:
index  d (Å)  I/Imax
1 1 0  4.489  22
3 1 -1  3.461  21
5 1 -3  2.505  100
2 0 -4  2.485  50
3 1 1  2.454  94
0 2 0  2.436  49
2 2 -4  1.740  34
5 3 -3  1.419  42

Crystal structure
a = 15.125 Å, b = 4.873 Å, c = 10.653 Å
α = 90.00°, β = 130.25°, γ = 90.00°
Space group C2/m (No. 12)
Unique sites:
Pm1 0.000 0.000 0.000
Pm2 0.066 0.500 0.265
Pm3 0.141 0.000 0.562
Pm4 0.216 0.500 0.854
Ir1 0.079 0.000 0.789
Ir2 0.220 0.000 0.360
O1 0.000 0.500 0.000



This entry pairs a crystal structure of Er2HgPb3 with its theoretical powder diffractogram. Radiation: Cu Kα X-rays. Structure: a crystal structure in Alexandria, relaxed with GGA-PBE.
Kinematic intensities with the Lorentz-polarization factor, no thermal factor.

Most intense lines, 2θ from 5° to 70°, by angle:
index  d (Å)  I/Imax
3 1 1  3.031  100
0 4 0  2.927  34
0 4 1  2.508  29
3 3 1  2.445  63
0 0 2  2.432  35
6 0 0  2.053  14
0 4 2  1.871  19
3 3 3  1.407  14

Crystal structure
a = 12.320 Å, b = 11.707 Å, c = 4.864 Å
α = 90.00°, β = 90.00°, γ = 90.00°
Space group Cmcm (No. 63)
Unique sites:
Er1 0.149 0.141 0.250
Hg1 0.000 0.083 0.750
Pb1 0.000 0.348 0.750
Pb2 0.192 0.403 0.250



This entry pairs a crystal structure of PuThCSe with its theoretical powder diffractogram. Radiation: Cu Kα X-rays. Structure: a crystal structure in Alexandria, relaxed with GGA-PBE.
Kinematic intensities with the Lorentz-polarization factor, no thermal factor.

Most intense lines, 2θ from 5° to 70°, by angle:
index  d (Å)  I/Imax
0 0 6  3.489  20
1 0 1  3.282  75
1 0 4  2.806  80
0 1 5  2.603  100
1 1 0  1.919  48
1 0 10  1.771  23
2 0 5  1.545  21
1 1 9  1.480  28

Crystal structure
a = 3.8377 Å, b = 3.8377 Å, c = 20.9345 Å
α = 90.00°, β = 90.00°, γ = 120.00°
Space group R3m (No. 160, hexagonal axes)
Unique sites:
Pu1 0.0000 0.0000 0.0000
Th1 0.0000 0.0000 0.2009
C1 0.0000 0.0000 0.5946
Se1 0.0000 0.0000 0.7653



This entry pairs a crystal structure of Sc4Pt5 with its theoretical powder diffractogram. Radiation: Cu Kα X-rays. Structure: a crystal structure in Alexandria, relaxed with GGA-PBE.
Kinematic intensities with the Lorentz-polarization factor, no thermal factor.

Most intense lines, 2θ from 5° to 70°, by angle:
index  d (Å)  I/Imax
2 0 0  3.489  7
1 1 1  3.290  29
2 1 0  2.638  11
2 1 1  2.394  11
3 0 0  2.326  100
2 2 2  1.645  16
3 2 0  1.601  7
3 2 1  1.541  6

Crystal structure
a = 8.0582 Å, b = 8.0582 Å, c = 5.6998 Å
α = 90.00°, β = 90.00°, γ = 120.00°
Space group P6_3/mcm (No. 193)
Unique sites:
Sc1 0.0000 0.0000 0.0000
Sc2 0.0000 0.3669 0.2500
Pt1 0.0000 0.2974 0.7500
Pt2 0.3333 0.6667 0.0000